[1]
For Dy4PuS7, a crystal structure in Alexandria, relaxed with PBE gives the calculated X-ray diffraction stick pattern in this record (Cu Ka).

Structural model:
Unit cell a=6.7142 b=6.7142 c=11.6556 alpha=103.99 beta=103.99 gamma=33.15
Element x y z (fractional)
Dy 0.0000 0.0000 0.0000
Dy 0.1878 0.1878 0.7684
Dy 0.5833 0.5833 0.3889
Dy 0.8857 0.8857 0.5788
Pu 0.7701 0.7701 0.1558
S 0.1428 0.1428 0.2282
S 0.2271 0.2271 0.5287
S 0.3846 0.3846 0.0738
S 0.5448 0.5448 0.6288
S 0.6222 0.6222 0.9254
S 0.8436 0.8436 0.7932
S 0.9284 0.9284 0.3658

Principal peaks in the range 2θ = 10–80°, in order of falling intensity:
Position (°2θ), d/Å, I_rel
24.4, 3.655, 1000
23.8, 3.737, 794
33.0, 2.711, 480
47.4, 1.917, 438
31.4, 2.849, 390
27.7, 3.217, 375
26.1, 3.409, 372
34.1, 2.628, 321
38.8, 2.318, 277
43.3, 2.088, 273
41.9, 2.158, 255
40.0, 2.256, 203


[2]
For LiIrPb2O6, a crystal structure in Alexandria, relaxed with PBE gives the calculated X-ray diffraction stick pattern in this record (Cu Ka).

Structural model:
Unit cell a=5.8105 b=5.8105 c=5.8105 alpha=58.37 beta=58.37 gamma=58.37
Element x y z (fractional)
Li 0.0000 0.0000 0.0000
Ir 0.4735 0.4735 0.4735
Pb 0.2539 0.2539 0.2539
Pb 0.7678 0.7678 0.7678
O 0.1395 0.6868 0.3434
O 0.2275 0.6120 0.7992
O 0.3434 0.1395 0.6868
O 0.6120 0.7992 0.2275
O 0.6868 0.3434 0.1395
O 0.7992 0.2275 0.6120

Principal peaks in the range 2θ = 10–80°, in order of falling intensity:
Position (°2θ), d/Å, I_rel
31.6, 2.834, 1000
30.8, 2.903, 934
21.9, 4.056, 437
44.7, 2.028, 417
55.7, 1.649, 386
19.1, 4.646, 343
49.8, 1.832, 332
56.2, 1.636, 263
36.8, 2.440, 231
18.5, 4.802, 220
74.5, 1.273, 155
38.8, 2.323, 149


[3]
For Ba2Ag5Pd5, a crystal structure in Alexandria, relaxed with PBE gives the calculated X-ray diffraction stick pattern in this record (Cu Ka).

Structural model:
Unit cell a=4.4932 b=5.7576 c=9.9636 alpha=90.00 beta=90.00 gamma=90.00
Element x y z (fractional)
Ba 0.0000 0.0000 0.0000
Ba 0.0000 0.5000 0.5000
Ag 0.0000 0.0000 0.3269
Ag 0.0000 0.0000 0.6731
Ag 0.0000 0.5000 0.1666
Ag 0.0000 0.5000 0.8334
Ag 0.5000 0.0000 0.5000
Pd 0.5000 0.2511 0.2490
Pd 0.5000 0.2511 0.7510
Pd 0.5000 0.5000 0.0000
Pd 0.5000 0.7489 0.2490
Pd 0.5000 0.7489 0.7510

Principal peaks in the range 2θ = 10–80°, in order of falling intensity:
Position (°2θ), d/Å, I_rel
37.1, 2.423, 1000
41.4, 2.179, 320
36.0, 2.492, 301
40.1, 2.247, 288
59.3, 1.558, 243
79.0, 1.212, 226
64.8, 1.439, 200
26.7, 3.337, 182
55.0, 1.669, 176
31.1, 2.877, 151
70.9, 1.329, 142
17.8, 4.984, 124


[4]
For Sr3Tc5, a crystal structure in Alexandria, relaxed with PBE gives the calculated X-ray diffraction stick pattern in this record (Cu Ka).

Structural model:
Unit cell a=10.6670 b=10.6670 c=4.5125 alpha=90.00 beta=90.00 gamma=120.00
Element x y z (fractional)
Sr 0.0000 0.3640 0.2500
Sr 0.0000 0.6360 0.7500
Sr 0.3640 0.0000 0.2500
Sr 0.3640 0.3640 0.7500
Sr 0.6360 0.0000 0.7500
Sr 0.6360 0.6360 0.2500
Tc 0.0000 0.1342 0.7500
Tc 0.0000 0.8658 0.2500
Tc 0.1342 0.0000 0.7500
Tc 0.1342 0.1342 0.2500
Tc 0.3333 0.6667 0.0000
Tc 0.3333 0.6667 0.5000
Tc 0.6667 0.3333 0.0000
Tc 0.6667 0.3333 0.5000
Tc 0.8658 0.0000 0.2500
Tc 0.8658 0.8658 0.7500

Principal peaks in the range 2θ = 10–80°, in order of falling intensity:
Position (°2θ), d/Å, I_rel
39.2, 2.296, 1000
16.6, 5.333, 981
29.0, 3.079, 893
32.4, 2.761, 664
35.0, 2.562, 619
25.9, 3.445, 494
41.2, 2.192, 461
61.7, 1.503, 429
53.2, 1.722, 426
56.5, 1.628, 378
25.5, 3.492, 276
47.4, 1.918, 273


[5]
For BaTi4O7, a crystal structure in Alexandria, relaxed with PBE gives the calculated X-ray diffraction stick pattern in this record (Cu Ka).

Structural model:
Unit cell a=13.9610 b=5.3011 c=5.6223 alpha=90.00 beta=90.00 gamma=90.00
Element x y z (fractional)
Ba 0.0000 0.0865 0.0000
Ba 0.5000 0.9135 0.5000
Ti 0.1267 0.6953 0.5555
Ti 0.2452 0.8694 0.1441
Ti 0.2548 0.1306 0.6441
Ti 0.3733 0.3047 0.0555
Ti 0.6267 0.3047 0.0555
Ti 0.7452 0.1306 0.6441
Ti 0.7548 0.8694 0.1441
Ti 0.8733 0.6953 0.5555
O 0.0000 0.7791 0.6495
O 0.1159 0.7695 0.2326
O 0.1547 0.3581 0.6022
O 0.1852 0.8773 0.8162
O 0.3148 0.1227 0.3162
O 0.3453 0.6419 0.1022
O 0.3841 0.2305 0.7326
O 0.5000 0.2209 0.1495
O 0.6159 0.2305 0.7326
O 0.6547 0.6419 0.1022
O 0.6852 0.1227 0.3162
O 0.8148 0.8773 0.8162
O 0.8453 0.3581 0.6022
O 0.8841 0.7695 0.2326

Principal peaks in the range 2θ = 10–80°, in order of falling intensity:
Position (°2θ), d/Å, I_rel
23.9, 3.718, 1000
24.8, 3.585, 807
26.4, 3.376, 757
16.7, 5.301, 662
30.7, 2.915, 603
25.5, 3.496, 454
39.8, 2.267, 407
34.4, 2.607, 372
35.9, 2.501, 312
31.8, 2.811, 281
38.5, 2.340, 275
44.8, 2.024, 219


[6]
For HoTc2Ge3, a crystal structure in Alexandria, relaxed with PBE gives the calculated X-ray diffraction stick pattern in this record (Cu Ka).

Structural model:
Unit cell a=6.0523 b=6.0523 c=5.9193 alpha=90.00 beta=90.00 gamma=78.53
Element x y z (fractional)
Ho 0.1365 0.8635 0.7500
Ho 0.8635 0.1365 0.2500
Tc 0.2843 0.2843 0.0000
Tc 0.2843 0.2843 0.5000
Tc 0.7157 0.7157 0.0000
Tc 0.7157 0.7157 0.5000
Ge 0.0567 0.6268 0.2500
Ge 0.3732 0.9433 0.2500
Ge 0.4935 0.5065 0.2500
Ge 0.5065 0.4935 0.7500
Ge 0.6268 0.0567 0.7500
Ge 0.9433 0.3732 0.7500

Principal peaks in the range 2θ = 10–80°, in order of falling intensity:
Position (°2θ), d/Å, I_rel
34.5, 2.599, 1000
35.9, 2.502, 826
33.8, 2.651, 687
43.2, 2.095, 634
38.4, 2.342, 621
36.5, 2.464, 570
48.0, 1.894, 516
55.9, 1.644, 339
76.3, 1.248, 267
45.4, 1.999, 245
56.5, 1.630, 241
61.4, 1.511, 241


[7]
For In2Ag3Au7, a crystal structure in Alexandria, relaxed with PBE gives the calculated X-ray diffraction stick pattern in this record (Cu Ka).

Structural model:
Unit cell a=3.0067 b=5.5171 c=13.9629 alpha=83.08 beta=87.58 gamma=82.57
Element x y z (fractional)
In 0.0773 0.0488 0.3238
In 0.9227 0.9512 0.6762
Ag 0.0000 0.5000 0.0000
Ag 0.4745 0.4611 0.6605
Ag 0.5255 0.5389 0.3395
Au 0.0007 0.2381 0.8335
Au 0.0833 0.2482 0.5020
Au 0.4580 0.7173 0.8367
Au 0.5000 0.0000 0.0000
Au 0.5420 0.2827 0.1633
Au 0.9167 0.7518 0.4980
Au 0.9993 0.7619 0.1665

Principal peaks in the range 2θ = 10–80°, in order of falling intensity:
Position (°2θ), d/Å, I_rel
36.4, 2.471, 1000
39.0, 2.309, 824
36.0, 2.495, 748
40.4, 2.231, 720
40.0, 2.254, 577
36.9, 2.433, 555
48.4, 1.879, 253
38.9, 2.317, 230
55.6, 1.654, 226
19.2, 4.619, 213
66.2, 1.412, 162
44.2, 2.049, 147


[8]
For SmDy12Sc7, a crystal structure in Alexandria, relaxed with PBE gives the calculated X-ray diffraction stick pattern in this record (Cu Ka).

Structural model:
Unit cell a=9.6843 b=9.6843 c=9.6843 alpha=112.77 beta=112.77 gamma=112.77
Element x y z (fractional)
Sm 0.0000 0.0000 0.0000
Dy 0.0000 0.2831 0.7169
Dy 0.0000 0.7169 0.2831
Dy 0.0882 0.4193 0.4193
Dy 0.2831 0.0000 0.7169
Dy 0.2831 0.7169 0.0000
Dy 0.4193 0.0882 0.4193
Dy 0.4193 0.4193 0.0882
Dy 0.5807 0.5807 0.9118
Dy 0.5807 0.9118 0.5807
Dy 0.7169 0.0000 0.2831
Dy 0.7169 0.2831 0.0000
Dy 0.9118 0.5807 0.5807
Sc 0.1609 0.1609 0.4966
Sc 0.1609 0.4966 0.1609
Sc 0.4966 0.1609 0.1609
Sc 0.5000 0.5000 0.5000
Sc 0.5034 0.8391 0.8391
Sc 0.8391 0.5034 0.8391
Sc 0.8391 0.8391 0.5034

Principal peaks in the range 2θ = 10–80°, in order of falling intensity:
Position (°2θ), d/Å, I_rel
25.6, 3.485, 1000
33.3, 2.688, 969
32.2, 2.779, 802
33.7, 2.658, 452
48.1, 1.890, 438
51.2, 1.785, 344
36.0, 2.498, 343
34.1, 2.627, 340
46.9, 1.936, 338
30.1, 2.974, 279
27.9, 3.199, 261
11.0, 8.065, 221